Record 1
# Ce2VGe4
Calculated powder diffraction line list, Cu Ka. Input: a crystal structure in Alexandria, relaxed with GGA-PBE.
No peak broadening, texture or thermal motion is included.

Cell and atoms:
```
Ce2VGe4
1.0
6.0811 0.0000 0.0000
0.0000 6.0811 0.0000
0.0000 0.0000 8.6983
Ce V Ge
4 2 8
direct
0.0000 0.5000 0.0000
0.0000 0.5000 0.5000
0.5000 0.0000 0.0000
0.5000 0.0000 0.5000
0.0000 0.0000 0.2483
0.5000 0.5000 0.7483
0.2112 0.2112 0.7503
0.2112 0.7888 0.7503
0.2888 0.2888 0.2503
0.2888 0.7112 0.2503
0.7112 0.2888 0.2503
0.7112 0.7112 0.2503
0.7888 0.2112 0.7503
0.7888 0.7888 0.7503
```

Principal peaks in the range 5 to 70 degrees two-theta, in order of falling intensity:
- d = 2.492 Å, 2θ 36.04, rel. 100.0
- d = 3.058 Å, 2θ 29.21, rel. 86.1
- d = 2.150 Å, 2θ 42.02, rel. 42.1
- d = 4.300 Å, 2θ 20.66, rel. 36.7
- d = 1.529 Å, 2θ 60.56, rel. 28.0
- d = 2.175 Å, 2θ 41.53, rel. 27.2
- d = 1.759 Å, 2θ 51.99, rel. 22.0
- d = 1.923 Å, 2θ 47.27, rel. 14.7
- d = 1.361 Å, 2θ 69.00, rel. 14.6
- d = 1.974 Å, 2θ 45.97, rel. 12.8

Record 2
# Rb2FePtBr6
Calculated powder diffraction line list, Cu Ka. Input: a crystal structure in Alexandria, relaxed with GGA-PBE.
No peak broadening, texture or thermal motion is included.

Cell and atoms:
```
Rb2FePtBr6
1.0
-3.7494 3.7494 5.7392
3.7494 -3.7494 5.7392
3.7494 3.7494 -5.7392
Rb Fe Pt Br
2 1 1 6
direct
0.2500 0.7500 0.5000
0.7500 0.2500 0.5000
0.0000 0.0000 0.0000
0.5000 0.5000 0.0000
0.2086 0.2086 0.0000
0.2639 0.2639 0.5278
0.2639 0.7361 0.0000
0.7361 0.2639 0.0000
0.7361 0.7361 0.4722
0.7914 0.7914 0.0000
```

Principal peaks in the range 5 to 70 degrees two-theta, in order of falling intensity:
- d = 2.651 Å, 2θ 33.81, rel. 100.0
- d = 1.947 Å, 2θ 46.64, rel. 66.0
- d = 3.139 Å, 2θ 28.43, rel. 59.2
- d = 3.895 Å, 2θ 22.83, rel. 53.1
- d = 2.870 Å, 2θ 31.17, rel. 52.9
- d = 5.302 Å, 2θ 16.72, rel. 41.3
- d = 3.408 Å, 2θ 26.15, rel. 36.0
- d = 1.875 Å, 2θ 48.56, rel. 34.5
- d = 1.569 Å, 2θ 58.84, rel. 31.9
- d = 5.739 Å, 2θ 15.44, rel. 28.8

Question: Which formula does entry 2 have?
Answer: Rb2FePtBr6

Copy entry 1 word for word.
# Ce2VGe4
Calculated powder diffraction line list, Cu Ka. Input: a crystal structure in Alexandria, relaxed with GGA-PBE.
No peak broadening, texture or thermal motion is included.

Cell and atoms:
```
Ce2VGe4
1.0
6.0811 0.0000 0.0000
0.0000 6.0811 0.0000
0.0000 0.0000 8.6983
Ce V Ge
4 2 8
direct
0.0000 0.5000 0.0000
0.0000 0.5000 0.5000
0.5000 0.0000 0.0000
0.5000 0.0000 0.5000
0.0000 0.0000 0.2483
0.5000 0.5000 0.7483
0.2112 0.2112 0.7503
0.2112 0.7888 0.7503
0.2888 0.2888 0.2503
0.2888 0.7112 0.2503
0.7112 0.2888 0.2503
0.7112 0.7112 0.2503
0.7888 0.2112 0.7503
0.7888 0.7888 0.7503
```

Principal peaks in the range 5 to 70 degrees two-theta, in order of falling intensity:
- d = 2.492 Å, 2θ 36.04, rel. 100.0
- d = 3.058 Å, 2θ 29.21, rel. 86.1
- d = 2.150 Å, 2θ 42.02, rel. 42.1
- d = 4.300 Å, 2θ 20.66, rel. 36.7
- d = 1.529 Å, 2θ 60.56, rel. 28.0
- d = 2.175 Å, 2θ 41.53, rel. 27.2
- d = 1.759 Å, 2θ 51.99, rel. 22.0
- d = 1.923 Å, 2θ 47.27, rel. 14.7
- d = 1.361 Å, 2θ 69.00, rel. 14.6
- d = 1.974 Å, 2θ 45.97, rel. 12.8